Diffraction record for K2Ni2Br7. The powder diffraction line list is computed, not measured: it uses DFT lattice parameters and positions (PBE) and Cu Kα.

Main lines, most intense first (5 to 70 degrees two-theta):
hkl 1 1 1, 19.72°, rel. 100; hkl 1 2 -2, 26.37°, rel. 86; hkl 1 0 2, 27.65°, rel. 54; hkl 1 3 0, 21.74°, rel. 52; hkl 0 2 1, 15.46°, rel. 44; hkl 2 5 -1, 40.30°, rel. 29; hkl 2 2 -3, 41.58°, rel. 26; hkl 1 4 -2, 32.84°, rel. 22

Structural model:
a b c (Å): 6.437 16.004 8.311
angles (deg): 90.00 98.99 90.00
Space group P2_1/c (No. 14)
Inequivalent atoms, fractional coordinates:
K 0.117 0.155 0.436
Ni 0.330 0.604 0.643
Br 0.036 0.654 0.472
Br 0.228 0.548 0.877
Br 0.450 0.216 0.768
Br 0.500 0.000 0.000